No. 1
Structure and computed X-ray diffraction stick pattern of Ca4PbAu3 (a GGA-PBE-relaxed structure; Cu Kα (weighted mean of Kα1 and Kα2)).

Main lines, in order of falling intensity (2θ from 10° to 80°):
hkl 1 0 1, 2θ = 24.07°, I 100; hkl 1 1 3, 2θ = 37.86°, I 80; hkl 1 1 1, 2θ = 30.41°, I 52; hkl 0 1 4, 2θ = 36.55°, I 33; hkl 0 0 2, 2θ = 15.52°, I 30; hkl 0 2 0, 2θ = 37.21°, I 26; hkl 1 2 1, 2θ = 44.78°, I 23; hkl 2 1 4, 2θ = 60.46°, I 15

Atomic structure:
Cell lengths 3.9142, 4.8333, 11.4208 Å; angles 90.00, 90.00, 90.00 degrees
Space group Pmm2 (No. 25)
Symmetry-distinct sites (fractional):
Ca (0.0000, 0.0000, 0.0000) x1
Ca (0.0000, 0.5000, 0.2681) x1
Ca (0.5000, 0.0000, 0.4774) x1
Ca (0.5000, 0.5000, 0.7743) x1
Pb (0.0000, 0.0000, 0.7118) x1
Au (0.0000, 0.5000, 0.5381) x1
Au (0.5000, 0.0000, 0.2088) x1
Au (0.5000, 0.5000, 0.0513) x1

=====

No. 2
Structure and computed X-ray diffraction stick pattern of Er3NpRu8 (a GGA-PBE-relaxed structure; Cu Kα (weighted mean of Kα1 and Kα2)).

Main lines, in order of falling intensity (2θ from 10° to 80°):
hkl 2 0 2, 2θ = 39.82°, I 100; hkl 1 1 0, 2θ = 33.76°, I 48; hkl 3 0 6, 2θ = 64.51°, I 24; hkl 0 2 4, 2θ = 41.67°, I 23; hkl 3 0 0, 2θ = 60.43°, I 14; hkl 0 2 16, 2θ = 70.95°, I 13; hkl 2 2 0, 2θ = 71.08°, I 13; hkl 0 0 18, 2θ = 64.42°, I 8

Atomic structure:
Cell lengths 5.3048, 5.3048, 26.0530 Å; angles 90.00, 90.00, 120.00 degrees
Space group R3m (No. 160, hexagonal axes)
Symmetry-distinct sites (fractional):
Er (0.0000, 0.0000, 0.0000) x3
Er (0.0000, 0.0000, 0.1245) x3
Er (0.0000, 0.0000, 0.6250) x3
Np (0.0000, 0.0000, 0.4996) x3
Ru (0.0000, 0.0000, 0.3122) x3
Ru (0.0000, 0.0000, 0.8124) x3
Ru (0.9997, 0.4998, 0.5620) x9
Ru (0.0006, 0.5003, 0.0626) x9

=====

No. 3
Structure and computed X-ray diffraction stick pattern of In3GaAg3O8 (a GGA-PBE-relaxed structure; Cu Kα (weighted mean of Kα1 and Kα2)).

Main lines, in order of falling intensity (2θ from 10° to 80°):
hkl 2 2 0, 2θ = 33.85°, I 100; hkl 0 0 2, 2θ = 28.31°, I 58; hkl 2 2 -2, 2θ = 36.04°, I 52; hkl 4 0 -2, 2θ = 32.32°, I 48; hkl 2 2 2, 2θ = 52.18°, I 30; hkl 4 0 0, 2θ = 39.72°, I 24; hkl 6 2 -2, 2θ = 57.15°, I 24; hkl 2 2 -4, 2θ = 56.80°, I 23

Atomic structure:
Cell lengths 11.2249, 6.5202, 7.7975 Å; angles 90.00, 126.03, 90.00 degrees
Space group C2/m (No. 12)
Symmetry-distinct sites (fractional):
In (0.0000, 0.0000, 0.0000) x2
In (0.2500, 0.2500, 0.0000) x4
Ga (0.0000, 0.5000, 0.0000) x2
Ag (0.0000, 0.0000, 0.5000) x2
Ag (0.2500, 0.2500, 0.5000) x4
O (0.0908, 0.5000, 0.8482) x4
O (0.0931, 0.0000, 0.8218) x4
O (0.1486, 0.2583, 0.1759) x8

=====

Please write out number 3 again, unchanged.
Structure and computed X-ray diffraction stick pattern of In3GaAg3O8 (a GGA-PBE-relaxed structure; Cu Kα (weighted mean of Kα1 and Kα2)).

Main lines, in order of falling intensity (2θ from 10° to 80°):
hkl 2 2 0, 2θ = 33.85°, I 100; hkl 0 0 2, 2θ = 28.31°, I 58; hkl 2 2 -2, 2θ = 36.04°, I 52; hkl 4 0 -2, 2θ = 32.32°, I 48; hkl 2 2 2, 2θ = 52.18°, I 30; hkl 4 0 0, 2θ = 39.72°, I 24; hkl 6 2 -2, 2θ = 57.15°, I 24; hkl 2 2 -4, 2θ = 56.80°, I 23

Atomic structure:
Cell lengths 11.2249, 6.5202, 7.7975 Å; angles 90.00, 126.03, 90.00 degrees
Space group C2/m (No. 12)
Symmetry-distinct sites (fractional):
In (0.0000, 0.0000, 0.0000) x2
In (0.2500, 0.2500, 0.0000) x4
Ga (0.0000, 0.5000, 0.0000) x2
Ag (0.0000, 0.0000, 0.5000) x2
Ag (0.2500, 0.2500, 0.5000) x4
O (0.0908, 0.5000, 0.8482) x4
O (0.0931, 0.0000, 0.8218) x4
O (0.1486, 0.2583, 0.1759) x8

=====

- Number 3 is which compound?
  In3GaAg3O8